1.
Simulated XRD peak list of SrScAgSe3 for Cu Kα, from a structure optimized by DFT (GGA-PBE).
Neutral-atom scattering factors, no anomalous dispersion.

Most intense lines, 5° ≤ 2θ ≤ 70°, sorted by position:
- 30.35°, d 2.945, I = 22
- 30.52°, d 2.929, I = 100
- 30.64°, d 2.918, I = 18
- 31.10°, d 2.876, I = 40
- 31.56°, d 2.835, I = 17
- 34.24°, d 2.619, I = 26
- 42.26°, d 2.138, I = 18
- 43.67°, d 2.073, I = 27
- 45.11°, d 2.010, I = 38
- 49.33°, d 1.848, I = 23

Structural model:
Cell: 9.0577 9.0577 8.5573 Å, 102.04 102.04 25.64°
Fractional coordinates of all 12 atoms:
Sr: 0.1332 0.1332 0.0737
Sr: 0.8668 0.8668 0.9263
Sc: 0.1667 0.1667 0.5862
Sc: 0.8333 0.8333 0.4138
Ag: 0.4706 0.4706 0.2875
Ag: 0.5294 0.5294 0.7125
Se: 0.0000 0.0000 0.5000
Se: 0.3155 0.3155 0.1868
Se: 0.3255 0.3255 0.6280
Se: 0.5000 0.5000 0.0000
Se: 0.6745 0.6745 0.3720
Se: 0.6845 0.6845 0.8132



2.
Simulated XRD peak list of Sc2SiAg2Sn for Cu Kα, from a structure optimized by DFT (GGA-PBE).
Neutral-atom scattering factors, no anomalous dispersion.

Most intense lines, 5° ≤ 2θ ≤ 70°, sorted by position:
- 8.54°, d 10.353, I = 3
- 24.29°, d 3.665, I = 65
- 32.71°, d 2.738, I = 3
- 40.18°, d 2.244, I = 100
- 47.48°, d 1.915, I = 20
- 47.56°, d 1.912, I = 10
- 58.08°, d 1.588, I = 11
- 58.23°, d 1.584, I = 5
- 63.88°, d 1.457, I = 5
- 63.96°, d 1.456, I = 7

Structural model:
Cell: 10.9864 4.4953 10.9921 Å, 90.00 109.56 90.00°
Fractional coordinates of all 24 atoms:
Sc: 0.0000 0.0000 0.0000
Sc: 0.1167 0.5000 0.3671
Sc: 0.2509 0.0000 0.7428
Sc: 0.3862 0.5000 0.1246
Sc: 0.5128 0.0000 0.5118
Sc: 0.6334 0.5000 0.8825
Sc: 0.7517 0.0000 0.2514
Sc: 0.8797 0.5000 0.6337
Si: 0.0027 0.0000 0.4974
Si: 0.5086 0.0000 0.0046
Si: 0.7565 0.0000 0.7560
Si: 0.8768 0.5000 0.1257
Ag: 0.1180 0.5000 0.6128
Ag: 0.2648 0.0000 0.9988
Ag: 0.3784 0.5000 0.3775
Ag: 0.5140 0.0000 0.7653
Ag: 0.6326 0.5000 0.1229
Ag: 0.7670 0.0000 0.5128
Ag: 0.8739 0.5000 0.8800
Ag: 0.9922 0.0000 0.2469
Sn: 0.1299 0.5000 0.8742
Sn: 0.2518 0.0000 0.2493
Sn: 0.3799 0.5000 0.6293
Sn: 0.6325 0.5000 0.3802